This entry pairs a crystal structure of U2Mo with its simulated powder diffraction line list. Radiation: Cu Kα X-rays. Structure: the GGA-PBE geometry in the Materials Project.
Lines closer than 0.1° are merged.

The 10 most intense peaks (5° ≤ 2θ ≤ 70°), most intense first:
2θ 38.23, I 100
2θ 37.06, I 57
2θ 67.58, I 39
2θ 53.42, I 20
2θ 18.28, I 18
2θ 69.88, I 15
2θ 56.92, I 11
2θ 41.62, I 10
2θ 54.29, I 9
2θ 27.58, I 7

Atomic structure:
a b c (Å): 5.427 5.427 5.427
angles (deg): 143.15 143.15 53.10
Positions (direct):
U 0.179 0.179 0.000
U 0.821 0.821 0.000
Mo 0.500 0.500 0.000